[1]
Diffraction record for Li3TiNi2O6. The X-ray diffraction stick pattern is simulated, not measured: it uses a GGA+U-relaxed structure and CuKα.
Intensities are scaled so that the largest is 100.

a b c (Å): 6.652 6.652 5.904
angles (deg): 102.86 102.86 25.39
Positions (direct):
1 Li 0.000 0.000 0.000
2 Li 0.327 0.327 0.671
3 Li 0.673 0.673 0.329
4 Ti 0.000 0.000 0.500
5 Ni 0.331 0.331 0.162
6 Ni 0.669 0.669 0.838
7 O 0.157 0.157 0.590
8 O 0.168 0.168 0.068
9 O 0.498 0.498 0.725
10 O 0.502 0.502 0.275
11 O 0.832 0.832 0.932
12 O 0.843 0.843 0.410

Main lines, by angle (10° ≤ 2θ ≤ 80°):
2theta  I (rel.)
18.34  100
35.41  16
35.90  27
37.19  10
42.94  27
43.57  52
47.45  15
62.84  29

[2]
Diffraction record for Li4Ti3Ni3O12. The X-ray diffraction stick pattern is simulated, not measured: it uses a GGA+U-relaxed structure and CuKα.
Intensities are scaled so that the largest is 100.

a b c (Å): 5.328 5.634 7.743
angles (deg): 111.33 96.47 90.00
Positions (direct):
1 Li 0.000 0.000 0.000
2 Li 0.169 0.085 0.666
3 Li 0.337 0.666 0.333
4 Li 0.669 0.339 0.666
5 Ti 0.169 0.577 0.666
6 Ti 0.515 0.252 0.005
7 Ti 0.823 0.914 0.328
8 Ni 0.006 0.501 0.996
9 Ni 0.331 0.171 0.337
10 Ni 0.669 0.833 0.666
11 O 0.036 0.243 0.486
12 O 0.119 0.847 0.189
13 O 0.218 0.324 0.144
14 O 0.312 0.414 0.835
15 O 0.366 0.910 0.807
16 O 0.457 0.513 0.515
17 O 0.540 0.991 0.477
18 O 0.640 0.088 0.176
19 O 0.697 0.578 0.157
20 O 0.797 0.180 0.855
21 O 0.880 0.664 0.817
22 O 0.971 0.770 0.526

Main lines, by angle (10° ≤ 2θ ≤ 80°):
2theta  I (rel.)
24.44  100
37.42  13
37.65  15
39.86  27
45.59  41
52.38  16
55.82  14
62.13  24

What is the formula in the second record? Li4Ti3Ni3O12